# 1
The following is a calculated X-ray powder pattern of Tl3Sn2Au7. It was derived from a crystal structure in Alexandria, relaxed with GGA-PBE, using Cu Ka.
Neutral-atom scattering factors, no anomalous dispersion.

Cell and atoms:
Lattice parameters (Å, degrees): 4.1719 4.1753 17.2210 96.67 96.86 90.17
Sites, in units of the cell vectors:
Tl 0.0000 0.0000 0.0000
Tl 0.2172 0.2216 0.4361
Tl 0.7828 0.7784 0.5639
Sn 0.4232 0.4149 0.8393
Sn 0.5768 0.5851 0.1607
Au 0.1316 0.6397 0.2690
Au 0.3065 0.3006 0.6110
Au 0.3679 0.8612 0.7310
Au 0.5000 0.5000 0.0000
Au 0.6321 0.1388 0.2690
Au 0.6935 0.6994 0.3890
Au 0.8684 0.3603 0.7310

Peak list (6 most intense, 10 to 90 degrees two-theta, by intensity)
d/Å, Position (°2θ), Rel. int.
2.087, 43.36, 100
2.792, 32.06, 99
2.784, 32.15, 90
2.426, 37.06, 66
2.231, 40.42, 54
5.660, 15.66, 29

***

# 2
The following is a calculated X-ray powder pattern of TmSn2Au. It was derived from a crystal structure in Alexandria, relaxed with GGA-PBE, using Cu Ka.
Neutral-atom scattering factors, no anomalous dispersion.

Cell and atoms:
Lattice parameters (Å, degrees): 4.5859 4.5859 4.3951 90.00 90.00 90.00
Sites, in units of the cell vectors:
Tm 0.0000 0.0000 0.0000
Sn 0.0000 0.5000 0.5000
Sn 0.5000 0.0000 0.5000
Au 0.5000 0.5000 0.0000

Peak list (6 most intense, 10 to 90 degrees two-theta, by intensity)
d/Å, Position (°2θ), Rel. int.
2.609, 34.37, 100
2.293, 39.29, 35
1.377, 68.08, 29
1.587, 58.14, 23
2.198, 41.07, 15
1.335, 70.54, 13